1.
Diffraction record for Mo2HO6. The powder X-ray diffraction pattern is theoretical, not measured: it uses the PBE+U geometry in the Materials Project and copper Kα.
Lines closer than 0.1° are merged.

Main lines, most intense first (2θ = 10–80°):
| 2θ/deg | I/Imax |
| --- | --- |
| 26.01 | 100 |
| 23.84 | 91 |
| 11.33 | 62 |
| 34.46 | 32 |
| 33.61 | 30 |
| 22.78 | 30 |
| 54.78 | 23 |
| 37.45 | 21 |
| 52.68 | 20 |
| 37.10 | 18 |

Structure:
```
data_Mo2HO6
_cell_length_a 3.843
_cell_length_b 3.812
_cell_length_c 8.037
_cell_angle_alpha 90.00
_cell_angle_beta 103.73
_cell_angle_gamma 90.00
_symmetry_space_group_name_H-M 'P 1'
_symmetry_Int_Tables_number 1
_symmetry_space_group_name_Hall 'P 1'
loop_
_atom_site_label
_atom_site_type_symbol
_atom_site_fract_x
_atom_site_fract_y
_atom_site_fract_z
_atom_site_occupancy
Mo1 Mo 0.000 0.000 0.000 1
Mo2 Mo 0.175 0.500 0.371 1
H1 H 0.544 0.500 0.667 1
O1 O 0.027 0.500 0.069 1
O2 O 0.144 0.000 0.310 1
O3 O 0.286 0.500 0.615 1
O4 O 0.505 0.000 0.027 1
O5 O 0.674 0.500 0.372 1
O6 O 0.879 0.000 0.781 1
```

***

2.
Diffraction record for Mo2HO6. The powder X-ray diffraction pattern is theoretical, not measured: it uses the PBE+U geometry in the Materials Project and copper Kα.
Lines closer than 0.1° are merged.

Main lines, most intense first (2θ = 10–80°):
| 2θ/deg | I/Imax |
| --- | --- |
| 11.14 | 100 |
| 25.75 | 71 |
| 23.71 | 65 |
| 26.11 | 61 |
| 23.85 | 59 |
| 33.84 | 54 |
| 22.38 | 37 |
| 47.22 | 24 |
| 47.73 | 23 |
| 33.42 | 20 |

Structure:
```
data_Mo2HO6
_cell_length_a 3.812
_cell_length_b 3.850
_cell_length_c 8.153
_cell_angle_alpha 77.05
_cell_angle_beta 88.90
_cell_angle_gamma 89.52
_symmetry_space_group_name_H-M 'P 1'
_symmetry_Int_Tables_number 1
_symmetry_space_group_name_Hall 'P 1'
loop_
_atom_site_label
_atom_site_type_symbol
_atom_site_fract_x
_atom_site_fract_y
_atom_site_fract_z
_atom_site_occupancy
Mo1 Mo 0.000 0.000 0.000 1
Mo2 Mo 0.492 0.821 0.363 1
H1 H 0.361 0.883 0.655 1
O1 O 0.020 0.092 0.785 1
O2 O 0.455 0.694 0.602 1
O3 O 0.496 0.319 0.361 1
O4 O 0.497 0.961 0.070 1
O5 O 0.994 0.847 0.303 1
O6 O 0.996 0.482 0.026 1
```

***

3.
Diffraction record for Mo2H2O7. The powder X-ray diffraction pattern is theoretical, not measured: it uses the PBE+U geometry in the Materials Project and copper Kα.
Lines closer than 0.1° are merged.

Main lines, most intense first (2θ = 10–80°):
| 2θ/deg | I/Imax |
| --- | --- |
| 27.16 | 100 |
| 19.09 | 76 |
| 12.20 | 71 |
| 29.39 | 42 |
| 25.31 | 39 |
| 26.92 | 34 |
| 37.12 | 31 |
| 43.89 | 20 |
| 48.14 | 20 |
| 24.53 | 17 |

Structure:
```
data_Mo2H2O7
_cell_length_a 7.520
_cell_length_b 3.780
_cell_length_c 9.636
_cell_angle_alpha 90.00
_cell_angle_beta 105.17
_cell_angle_gamma 90.00
_symmetry_space_group_name_H-M 'P 1'
_symmetry_Int_Tables_number 1
_symmetry_space_group_name_Hall 'P 1'
loop_
_atom_site_label
_atom_site_type_symbol
_atom_site_fract_x
_atom_site_fract_y
_atom_site_fract_z
_atom_site_occupancy
Mo1 Mo 0.160 0.250 0.441 1
Mo2 Mo 0.183 0.750 0.973 1
Mo3 Mo 0.817 0.250 0.027 1
Mo4 Mo 0.840 0.750 0.559 1
H1 H 0.331 0.250 0.742 1
H2 H 0.386 0.250 0.292 1
H3 H 0.614 0.750 0.708 1
H4 H 0.669 0.750 0.258 1
O1 O 0.027 0.250 0.259 1
O2 O 0.097 0.750 0.467 1
O3 O 0.100 0.250 0.964 1
O4 O 0.294 0.250 0.637 1
O5 O 0.316 0.750 0.149 1
O6 O 0.351 0.750 0.879 1
O7 O 0.385 0.250 0.394 1
O8 O 0.615 0.750 0.606 1
O9 O 0.649 0.250 0.121 1
O10 O 0.684 0.250 0.851 1
O11 O 0.706 0.750 0.363 1
O12 O 0.900 0.750 0.036 1
O13 O 0.903 0.250 0.533 1
O14 O 0.973 0.750 0.741 1
```

***

4.
Diffraction record for MoHO3. The powder X-ray diffraction pattern is theoretical, not measured: it uses the PBE+U geometry in the Materials Project and copper Kα.
Lines closer than 0.1° are merged.

Main lines, most intense first (2θ = 10–80°):
| 2θ/deg | I/Imax |
| --- | --- |
| 23.20 | 100 |
| 11.82 | 75 |
| 25.22 | 56 |
| 25.71 | 40 |
| 35.97 | 33 |
| 32.60 | 28 |
| 45.89 | 18 |
| 45.76 | 18 |
| 36.54 | 16 |
| 37.63 | 15 |

Structure:
```
data_MoHO3
_cell_length_a 7.749
_cell_length_b 7.749
_cell_length_c 3.956
_cell_angle_alpha 91.25
_cell_angle_beta 91.25
_cell_angle_gamma 29.65
_symmetry_space_group_name_H-M 'P 1'
_symmetry_Int_Tables_number 1
_symmetry_space_group_name_Hall 'P 1'
loop_
_atom_site_label
_atom_site_type_symbol
_atom_site_fract_x
_atom_site_fract_y
_atom_site_fract_z
_atom_site_occupancy
Mo1 Mo 0.086 0.086 0.260 1
Mo2 Mo 0.914 0.914 0.740 1
H1 H 0.354 0.133 0.470 1
H2 H 0.867 0.646 0.530 1
O1 O 0.146 0.283 0.322 1
O2 O 0.359 0.467 0.765 1
O3 O 0.533 0.641 0.235 1
O4 O 0.717 0.854 0.678 1
O5 O 0.881 0.005 0.249 1
O6 O 0.995 0.119 0.751 1
```